(1)
Tb7Pm2Cd2: computed powder X-ray diffraction pattern (Cu Kα (weighted mean of Kα1 and Kα2)), based on the PBE geometry in Alexandria.

The 10 most intense peaks (10° ≤ 2θ ≤ 80°), by intensity:
Position (°2θ)  I_rel  hkl
31.62  100  2 2 1
30.93  51  1 3 -1
32.38  31  2 2 -2
34.48  29  3 1 -2
34.20  24  0 0 3
43.88  20  1 3 -3
26.34  17  2 0 -2
59.12  16  2 2 4
57.26  15  3 5 0
39.19  14  1 3 2

Atomic structure:
```
data_Tb7Pm2Cd2
_chemical_formula_sum 'Tb14 Pm4 Cd4'
_space_group_name_H-M_alt 'C 1 2/m 1'
_space_group_IT_number 12
_cell_length_a 9.1457
_cell_length_b 9.5915
_cell_length_c 8.1148
_cell_angle_alpha 90.00
_cell_angle_beta 104.25
_cell_angle_gamma 90.00
loop_
_space_group_symop_operation_xyz
'x,y,z'
'-x,-y,-z'
'-x,y,-z'
'x,-y,z'
'x+1/2,y+1/2,z'
'-x+1/2,-y+1/2,-z'
'-x+1/2,y+1/2,-z'
'x+1/2,-y+1/2,z'
loop_
_atom_site_label
_atom_site_type_symbol
_atom_site_fract_x
_atom_site_fract_y
_atom_site_fract_z
_atom_site_occupancy
Tb1 Tb 0.0000 0.0000 0.0000 1
Tb2 Tb 0.1791 0.2970 0.1719 1
Tb3 Tb 0.1926 0.5000 0.5359 1
Pm1 Pm 0.0000 0.1799 0.5000 1
Cd1 Cd 0.1045 0.5000 0.8594 1
```

(2)
Tb2Pm3Cd4: computed powder X-ray diffraction pattern (Cu Kα (weighted mean of Kα1 and Kα2)), based on the PBE geometry in Alexandria.

The 10 most intense peaks (10° ≤ 2θ ≤ 80°), by intensity:
Position (°2θ)  I_rel  hkl
34.63  100  2 0 2
28.72  60  1 5 1
35.40  55  0 6 2
34.27  49  0 2 3
60.33  46  2 6 4
30.25  45  2 2 1
36.74  43  1 7 1
29.10  25  1 3 2
38.66  24  2 6 0
68.33  22  2 12 2

Atomic structure:
```
data_Tb2Pm3Cd4
_chemical_formula_sum 'Tb8 Pm12 Cd16'
_space_group_name_H-M_alt 'C m c e'
_space_group_IT_number 64
_space_group_name_Hall '-C 2ac 2'
_cell_length_a 6.7062
_cell_length_b 19.4249
_cell_length_c 8.1573
_cell_angle_alpha 90.00
_cell_angle_beta 90.00
_cell_angle_gamma 90.00
loop_
_atom_site_label
_atom_site_type_symbol
_atom_site_fract_x
_atom_site_fract_y
_atom_site_fract_z
_atom_site_occupancy
Tb1 Tb 0.0000 0.0898 0.1001 1
Pm1 Pm 0.0000 0.0000 0.5000 1
Pm2 Pm 0.2500 0.2459 0.7500 1
Cd1 Cd 0.0000 0.1566 0.4800 1
Cd2 Cd 0.2500 0.0783 0.7500 1
```

(3)
TbPmCd4: computed powder X-ray diffraction pattern (Cu Kα (weighted mean of Kα1 and Kα2)), based on the PBE geometry in Alexandria.

The 10 most intense peaks (10° ≤ 2θ ≤ 80°), by intensity:
Position (°2θ)  I_rel  hkl
33.12  100  1 0 2
35.74  83  0 2 0
49.50  27  1 2 2
62.52  21  1 3 -1
65.58  18  2 2 0
62.63  10  1 1 5
64.18  10  0 3 3
65.67  9  2 1 3
53.04  9  2 0 0
75.78  6  0 2 6

Atomic structure:
```
data_TbPmCd4
_chemical_formula_sum 'Tb1 Pm1 Cd4'
_space_group_name_H-M_alt 'P 1 2/m 1'
_space_group_IT_number 10
_cell_length_a 3.4532
_cell_length_b 5.0302
_cell_length_c 8.6919
_cell_angle_alpha 90.00
_cell_angle_beta 90.09
_cell_angle_gamma 90.00
loop_
_space_group_symop_operation_xyz
'x,y,z'
'-x,-y,-z'
'-x,y,-z'
'x,-y,z'
loop_
_atom_site_label
_atom_site_type_symbol
_atom_site_fract_x
_atom_site_fract_y
_atom_site_fract_z
_atom_site_occupancy
Tb1 Tb 0.0000 0.0000 0.0000 1
Pm1 Pm 0.0000 0.5000 0.5000 1
Cd1 Cd 0.4995 0.0000 0.3304 1
Cd2 Cd 0.4989 0.5000 0.8356 1
```

(4)
Tb3PmCd3: computed powder X-ray diffraction pattern (Cu Kα (weighted mean of Kα1 and Kα2)), based on the PBE geometry in Alexandria.

The 10 most intense peaks (10° ≤ 2θ ≤ 80°), by intensity:
Position (°2θ)  I_rel  hkl
34.73  100  2 2 2
33.07  29  0 4 0
33.63  26  4 0 0
60.14  20  2 6 2
47.88  19  4 4 0
60.85  18  6 2 2
73.30  11  4 4 4
23.41  11  2 2 0
62.96  9  0 4 4
63.30  8  4 0 4

Atomic structure:
```
data_Tb3PmCd3
_chemical_formula_sum 'Tb12 Pm4 Cd12'
_space_group_name_H-M_alt 'C m m m'
_space_group_IT_number 65
_space_group_name_Hall '-C 2 2'
_cell_length_a 10.6609
_cell_length_b 10.8346
_cell_length_c 7.0438
_cell_angle_alpha 90.00
_cell_angle_beta 90.00
_cell_angle_gamma 90.00
loop_
_atom_site_label
_atom_site_type_symbol
_atom_site_fract_x
_atom_site_fract_y
_atom_site_fract_z
_atom_site_occupancy
Tb1 Tb 0.0000 0.2430 0.0000 1
Tb2 Tb 0.0000 0.2461 0.5000 1
Tb3 Tb 0.2355 0.0000 0.5000 1
Pm1 Pm 0.2338 0.0000 0.0000 1
Cd1 Cd 0.0000 0.5000 0.2498 1
Cd2 Cd 0.2500 0.2500 0.2534 1
```

(5)
Tb3PmCd6: computed powder X-ray diffraction pattern (Cu Kα (weighted mean of Kα1 and Kα2)), based on the PBE geometry in Alexandria.

The 10 most intense peaks (10° ≤ 2θ ≤ 80°), by intensity:
Position (°2θ)  I_rel  hkl
33.76  100  3 1 -1
34.15  98  1 1 3
33.96  50  2 0 -4
34.52  49  0 2 0
49.21  34  2 2 -4
61.37  17  3 3 -1
61.62  17  1 3 3
48.36  17  4 0 2
60.40  17  5 1 -5
61.14  17  1 1 -7

Atomic structure:
```
data_Tb3PmCd6
_chemical_formula_sum 'Tb6 Pm2 Cd12'
_space_group_name_H-M_alt 'P 1 21/m 1'
_space_group_IT_number 11
_cell_length_a 9.2643
_cell_length_b 5.1958
_cell_length_c 11.1555
_cell_angle_alpha 90.00
_cell_angle_beta 105.93
_cell_angle_gamma 90.00
loop_
_space_group_symop_operation_xyz
'x,y,z'
'-x,-y,-z'
'-x,y+1/2,-z'
'x,-y+1/2,z'
loop_
_atom_site_label
_atom_site_type_symbol
_atom_site_fract_x
_atom_site_fract_y
_atom_site_fract_z
_atom_site_occupancy
Tb1 Tb 0.0262 0.2500 0.3922 1
Tb2 Tb 0.1486 0.7500 0.2042 1
Tb3 Tb 0.2622 0.2500 0.0013 1
Pm1 Pm 0.4419 0.2500 0.6104 1
Cd1 Cd 0.0490 0.7500 0.9050 1
Cd2 Cd 0.1546 0.2500 0.7090 1
Cd3 Cd 0.2539 0.7500 0.4981 1
Cd4 Cd 0.3439 0.2500 0.3039 1
Cd5 Cd 0.3557 0.7500 0.8040 1
Cd6 Cd 0.4471 0.7500 0.0963 1
```

(6)
Tb4Pm3Cd2: computed powder X-ray diffraction pattern (Cu Kα (weighted mean of Kα1 and Kα2)), based on the PBE geometry in Alexandria.

The 10 most intense peaks (10° ≤ 2θ ≤ 80°), by intensity:
Position (°2θ)  I_rel  hkl
31.32  100  3 1 1
36.27  34  6 0 -1
52.34  29  6 2 -1
62.16  20  9 1 0
36.43  17  0 2 0
62.39  14  3 3 1
62.24  7  3 1 4
65.42  6  6 2 2
65.30  6  6 2 -4
52.17  6  6 0 -4

Atomic structure:
```
data_Tb4Pm3Cd2
_chemical_formula_sum 'Tb8 Pm6 Cd4'
_space_group_name_H-M_alt 'C 1 2/m 1'
_space_group_IT_number 12
_cell_length_a 14.8629
_cell_length_b 4.9324
_cell_length_c 7.8359
_cell_angle_alpha 90.00
_cell_angle_beta 108.57
_cell_angle_gamma 90.00
loop_
_space_group_symop_operation_xyz
'x,y,z'
'-x,-y,-z'
'-x,y,-z'
'x,-y,z'
'x+1/2,y+1/2,z'
'-x+1/2,-y+1/2,-z'
'-x+1/2,y+1/2,-z'
'x+1/2,-y+1/2,z'
loop_
_atom_site_label
_atom_site_type_symbol
_atom_site_fract_x
_atom_site_fract_y
_atom_site_fract_z
_atom_site_occupancy
Tb1 Tb 0.0570 0.0000 0.3322 1
Tb2 Tb 0.2218 0.5000 0.3176 1
Pm1 Pm 0.0000 0.5000 0.0000 1
Pm2 Pm 0.1143 0.5000 0.6706 1
Cd1 Cd 0.1661 0.0000 0.0005 1
```

(7)
Tb2Pm2Cd: computed powder X-ray diffraction pattern (Cu Kα (weighted mean of Kα1 and Kα2)), based on the PBE geometry in Alexandria.

The 10 most intense peaks (10° ≤ 2θ ≤ 80°), by intensity:
Position (°2θ)  I_rel  hkl
31.19  100  1 0 5
34.95  40  1 1 0
60.35  30  2 1 5
52.96  17  1 1 10
65.07  15  2 0 10
50.26  14  2 0 0
38.49  11  0 0 10
57.14  6  1 0 13
47.11  5  1 1 8
73.83  5  2 2 0

Atomic structure:
```
data_Tb2Pm2Cd
_chemical_formula_sum 'Tb4 Pm4 Cd2'
_space_group_name_H-M_alt 'I 4/m m m'
_space_group_IT_number 139
_space_group_name_Hall '-I 4 2'
_cell_length_a 3.6304
_cell_length_b 3.6304
_cell_length_c 23.3877
_cell_angle_alpha 90.00
_cell_angle_beta 90.00
_cell_angle_gamma 90.00
loop_
_atom_site_label
_atom_site_type_symbol
_atom_site_fract_x
_atom_site_fract_y
_atom_site_fract_z
_atom_site_occupancy
Tb1 Tb 0.0000 0.0000 0.0868 1
Pm1 Pm 0.0000 0.0000 0.3056 1
Cd1 Cd 0.0000 0.0000 0.5000 1
```

(8)
Tb3Pm2Cd7: computed powder X-ray diffraction pattern (Cu Kα (weighted mean of Kα1 and Kα2)), based on the PBE geometry in Alexandria.

The 10 most intense peaks (10° ≤ 2θ ≤ 80°), by intensity:
Position (°2θ)  I_rel  hkl
35.38  100  1 7 1
33.78  37  0 0 2
34.94  32  2 0 0
49.39  25  2 0 2
61.47  19  1 7 3
62.95  18  3 7 1
30.34  18  1 5 1
25.15  10  1 5 0
26.51  10  1 3 1
74.86  6  2 14 2

Atomic structure:
```
data_Tb3Pm2Cd7
_chemical_formula_sum 'Tb6 Pm4 Cd14'
_space_group_name_H-M_alt 'C m m m'
_space_group_IT_number 65
_space_group_name_Hall '-C 2 2'
_cell_length_a 5.1358
_cell_length_b 24.4502
_cell_length_c 5.3071
_cell_angle_alpha 90.00
_cell_angle_beta 90.00
_cell_angle_gamma 90.00
loop_
_atom_site_label
_atom_site_type_symbol
_atom_site_fract_x
_atom_site_fract_y
_atom_site_fract_z
_atom_site_occupancy
Tb1 Tb 0.0000 0.0000 0.0000 1
Tb2 Tb 0.0000 0.1631 0.0000 1
Pm1 Pm 0.0000 0.3564 0.5000 1
Cd1 Cd 0.0000 0.0705 0.5000 1
Cd2 Cd 0.0000 0.2266 0.5000 1
Cd3 Cd 0.0000 0.4251 0.0000 1
Cd4 Cd 0.0000 0.5000 0.5000 1
```

Copy entry 8 word for word.
Tb3Pm2Cd7: computed powder X-ray diffraction pattern (Cu Kα (weighted mean of Kα1 and Kα2)), based on the PBE geometry in Alexandria.

The 10 most intense peaks (10° ≤ 2θ ≤ 80°), by intensity:
Position (°2θ)  I_rel  hkl
35.38  100  1 7 1
33.78  37  0 0 2
34.94  32  2 0 0
49.39  25  2 0 2
61.47  19  1 7 3
62.95  18  3 7 1
30.34  18  1 5 1
25.15  10  1 5 0
26.51  10  1 3 1
74.86  6  2 14 2

Atomic structure:
```
data_Tb3Pm2Cd7
_chemical_formula_sum 'Tb6 Pm4 Cd14'
_space_group_name_H-M_alt 'C m m m'
_space_group_IT_number 65
_space_group_name_Hall '-C 2 2'
_cell_length_a 5.1358
_cell_length_b 24.4502
_cell_length_c 5.3071
_cell_angle_alpha 90.00
_cell_angle_beta 90.00
_cell_angle_gamma 90.00
loop_
_atom_site_label
_atom_site_type_symbol
_atom_site_fract_x
_atom_site_fract_y
_atom_site_fract_z
_atom_site_occupancy
Tb1 Tb 0.0000 0.0000 0.0000 1
Tb2 Tb 0.0000 0.1631 0.0000 1
Pm1 Pm 0.0000 0.3564 0.5000 1
Cd1 Cd 0.0000 0.0705 0.5000 1
Cd2 Cd 0.0000 0.2266 0.5000 1
Cd3 Cd 0.0000 0.4251 0.0000 1
Cd4 Cd 0.0000 0.5000 0.5000 1
```